This entry pairs a crystal structure of LiV2S2O8F6 with its theoretical X-ray powder pattern. Radiation: Cu Ka. Structure: a DFT-relaxed cell (GGA+U, Alexandria).
Peak positions follow from Bragg's law for the DFT cell and can differ from measured ones.

Main lines, in order of falling intensity (2θ from 10° to 90°):
| two_theta | intensity | (hkl) |
| --- | --- | --- |
| 17.53 | 100 | 0 0 2 |
| 28.26 | 55 | 1 2 0 |
| 15.64 | 39 | 1 0 -2 |
| 18.23 | 30 | 1 1 0 |
| 13.40 | 25 | 1 0 0 |
| 19.95 | 22 | 1 1 -2 |
| 26.50 | 21 | 2 1 -2 |
| 29.42 | 15 | 1 2 -2 |
| 29.75 | 12 | 2 1 0 |
| 23.37 | 11 | 2 0 -2 |

Crystal structure
```
data_LiV2S2O8F6
_chemical_formula_sum 'Li2 V4 S4 O16 F12'
_space_group_name_H-M_alt 'P 1 c 1'
_space_group_IT_number 7
_space_group_name_Hall 'P -2yc'
_cell_length_a 7.710
_cell_length_b 7.191
_cell_length_c 11.804
_cell_angle_alpha 90.00
_cell_angle_beta 120.98
_cell_angle_gamma 90.00
loop_
_atom_site_label
_atom_site_type_symbol
_atom_site_fract_x
_atom_site_fract_y
_atom_site_fract_z
_atom_site_occupancy
Li1 Li 0.000 0.136 0.000 1
V1 V 0.651 0.262 0.713 1
V2 V 0.661 0.239 0.225 1
S1 S 0.037 0.006 0.262 1
S2 S 0.289 0.475 0.189 1
O1 O 0.075 0.036 0.656 1
O2 O 0.137 0.385 0.068 1
O3 O 0.201 0.076 0.385 1
O4 O 0.234 0.468 0.782 1
O5 O 0.385 0.365 0.655 1
O6 O 0.470 0.329 0.261 1
O7 O 0.863 0.159 0.197 1
O8 O 0.936 0.153 0.791 1
F1 F 0.503 0.292 0.055 1
F2 F 0.539 0.010 0.681 1
F3 F 0.634 0.278 0.559 1
F4 F 0.717 0.244 0.885 1
F5 F 0.775 0.483 0.259 1
F6 F 0.806 0.156 0.392 1
```